(1)
For Nb6OsAu, a cell relaxed with GGA-PBE gives the simulated powder diffractogram in this record (CuKα).

The 9 most intense peaks (5 to 70 degrees two-theta), low angle first:
two_theta  d/Å  I (rel.)
24.16  3.684  23
34.43  2.605  45
38.65  2.330  57
42.50  2.127  100
49.49  1.842  4
55.80  1.647  6
61.68  1.504  1
64.49  1.445  12
67.24  1.392  51

Cell and atoms:
Cell lengths 5.2097, 5.2097, 5.2097 Å; angles 90.00, 90.00, 90.00 degrees
Element x y z (fractional)
1 Nb 0.0000 0.2551 0.5000
2 Nb 0.0000 0.7449 0.5000
3 Nb 0.2551 0.5000 0.0000
4 Nb 0.5000 0.0000 0.2551
5 Nb 0.5000 0.0000 0.7449
6 Nb 0.7449 0.5000 0.0000
7 Os 0.5000 0.5000 0.5000
8 Au 0.0000 0.0000 0.0000

***

(2)
For NdAu6, a cell relaxed with GGA-PBE gives the simulated powder diffractogram in this record (CuKα).

The 12 most intense peaks (5 to 70 degrees two-theta), low angle first:
two_theta  d/Å  I (rel.)
35.05  2.560  52
35.37  2.538  60
35.63  2.520  79
36.06  2.490  73
38.01  2.367  100
38.33  2.348  93
39.34  2.290  46
39.47  2.283  48
40.19  2.244  77
40.62  2.221  42
41.04  2.199  57
67.01  1.397  48

Cell and atoms:
Cell lengths 5.5874, 5.5874, 9.3182 Å; angles 97.46, 97.46, 89.71 degrees
Element x y z (fractional)
1 Nd 0.1844 0.8156 0.7500
2 Nd 0.8156 0.1844 0.2500
3 Au 0.0407 0.6643 0.1282
4 Au 0.1160 0.2784 0.5807
5 Au 0.2784 0.1160 0.0807
6 Au 0.3357 0.9593 0.3718
7 Au 0.3440 0.4577 0.3639
8 Au 0.4577 0.3440 0.8639
9 Au 0.5423 0.6560 0.1361
10 Au 0.6560 0.5423 0.6361
11 Au 0.6643 0.0407 0.6282
12 Au 0.7216 0.8840 0.9193
13 Au 0.8840 0.7216 0.4193
14 Au 0.9593 0.3357 0.8718

***

(3)
For NdAu3, a cell relaxed with GGA-PBE gives the simulated powder diffractogram in this record (CuKα).

The 12 most intense peaks (5 to 70 degrees two-theta), low angle first:
two_theta  d/Å  I (rel.)
15.74  5.629  4
31.79  2.814  20
36.92  2.435  100
40.43  2.231  1
42.49  2.128  1
46.61  1.949  2
49.56  1.839  12
52.26  1.750  2
56.65  1.625  15
66.44  1.407  2
66.60  1.404  15
69.58  1.351  28

Cell and atoms:
Cell lengths 6.4997, 6.4997, 4.8607 Å; angles 90.00, 90.00, 120.00 degrees
Element x y z (fractional)
1 Nd 0.3333 0.6667 0.2500
2 Nd 0.6667 0.3333 0.7500
3 Au 0.1560 0.3119 0.7500
4 Au 0.1560 0.8440 0.7500
5 Au 0.3119 0.1560 0.2500
6 Au 0.6881 0.8440 0.7500
7 Au 0.8440 0.1560 0.2500
8 Au 0.8440 0.6881 0.2500

***

(4)
For NdAu3, a cell relaxed with GGA-PBE gives the simulated powder diffractogram in this record (CuKα).

The 6 most intense peaks (5 to 70 degrees two-theta), low angle first:
two_theta  d/Å  I (rel.)
21.79  4.079  1
25.21  3.533  1
35.95  2.498  100
42.43  2.130  1
51.76  1.766  18
64.63  1.442  37

Cell and atoms:
Cell lengths 7.0651, 7.0651, 7.0651 Å; angles 90.00, 90.00, 90.00 degrees
Element x y z (fractional)
1 Nd 0.0000 0.0000 0.0000
2 Nd 0.0000 0.5000 0.5000
3 Nd 0.5000 0.0000 0.5000
4 Nd 0.5000 0.5000 0.0000
5 Au 0.0000 0.0000 0.5000
6 Au 0.0000 0.5000 0.0000
7 Au 0.2500 0.2500 0.2500
8 Au 0.2500 0.2500 0.7500
9 Au 0.2500 0.7500 0.2500
10 Au 0.2500 0.7500 0.7500
11 Au 0.5000 0.0000 0.0000
12 Au 0.5000 0.5000 0.5000
13 Au 0.7500 0.2500 0.2500
14 Au 0.7500 0.2500 0.7500
15 Au 0.7500 0.7500 0.2500
16 Au 0.7500 0.7500 0.7500

***

(5)
For Nd2Au, a cell relaxed with GGA-PBE gives the simulated powder diffractogram in this record (CuKα).

The 12 most intense peaks (5 to 70 degrees two-theta), low angle first:
two_theta  d/Å  I (rel.)
28.66  3.115  61
30.07  2.972  23
31.00  2.885  23
31.59  2.833  100
33.72  2.658  78
35.35  2.539  63
41.70  2.166  19
41.99  2.152  30
42.16  2.143  23
55.79  1.648  16
62.44  1.487  19
67.21  1.393  16

Cell and atoms:
Cell lengths 7.3302, 5.0787, 9.3563 Å; angles 90.00, 90.00, 90.00 degrees
Element x y z (fractional)
1 Nd 0.0076 0.2500 0.1757
2 Nd 0.1513 0.2500 0.5853
3 Nd 0.3487 0.7500 0.0853
4 Nd 0.4924 0.7500 0.6757
5 Nd 0.5076 0.2500 0.3243
6 Nd 0.6513 0.2500 0.9147
7 Nd 0.8487 0.7500 0.4147
8 Nd 0.9924 0.7500 0.8243
9 Au 0.2429 0.2500 0.9035
10 Au 0.2571 0.7500 0.4035
11 Au 0.7429 0.2500 0.5965
12 Au 0.7571 0.7500 0.0965

***

(6)
For Nd2P2AuO, a cell relaxed with GGA-PBE gives the simulated powder diffractogram in this record (CuKα).

The 12 most intense peaks (5 to 70 degrees two-theta), low angle first:
two_theta  d/Å  I (rel.)
17.78  4.989  28
27.57  3.235  100
27.91  3.196  52
28.67  3.114  78
31.01  2.884  32
31.39  2.850  49
35.68  2.516  34
35.98  2.496  29
37.74  2.384  87
42.59  2.123  44
48.49  1.877  28
60.27  1.535  32

Cell and atoms:
Cell lengths 7.9143, 7.9143, 9.9785 Å; angles 129.05, 129.05, 31.12 degrees
Element x y z (fractional)
1 Nd 0.1327 0.1327 0.4524
2 Nd 0.1736 0.1736 0.1170
3 Nd 0.8264 0.8264 0.8830
4 Nd 0.8673 0.8673 0.5476
5 P 0.1480 0.1480 0.7668
6 P 0.4505 0.4505 0.8551
7 P 0.5495 0.5495 0.1449
8 P 0.8520 0.8520 0.2332
9 Au 0.4115 0.4115 0.1968
10 Au 0.5885 0.5885 0.8032
11 O 0.2792 0.2792 0.4281
12 O 0.7208 0.7208 0.5719

***

(7)
For Nd2P3Au, a cell relaxed with GGA-PBE gives the simulated powder diffractogram in this record (CuKα).

The 12 most intense peaks (5 to 70 degrees two-theta), low angle first:
two_theta  d/Å  I (rel.)
12.63  7.008  52
24.76  3.596  63
25.42  3.504  62
26.47  3.367  55
26.62  3.349  46
29.21  3.058  48
31.90  2.805  100
32.70  2.739  71
32.95  2.719  62
35.12  2.555  45
38.54  2.336  45
43.17  2.096  62

Cell and atoms:
Cell lengths 4.1916, 7.7705, 16.7182 Å; angles 90.00, 104.04, 90.00 degrees
Element x y z (fractional)
1 Nd 0.0592 0.1048 0.2988
2 Nd 0.0592 0.3952 0.7988
3 Nd 0.2419 0.7313 0.4749
4 Nd 0.2419 0.7687 0.9749
5 Nd 0.7581 0.2313 0.0251
6 Nd 0.7581 0.2687 0.5251
7 Nd 0.9408 0.6048 0.2012
8 Nd 0.9408 0.8952 0.7012
9 P 0.1556 0.1163 0.9140
10 P 0.1556 0.3837 0.4140
11 P 0.3214 0.0360 0.5934
12 P 0.3214 0.4640 0.0934
13 P 0.4923 0.2049 0.7009
14 P 0.4923 0.2951 0.2009
15 P 0.5077 0.7049 0.7991
16 P 0.5077 0.7951 0.2991
17 P 0.6786 0.5360 0.9066
18 P 0.6786 0.9640 0.4066
19 P 0.8444 0.6163 0.5860
20 P 0.8444 0.8837 0.0860
21 Au 0.4098 0.5177 0.6547
22 Au 0.4098 0.9823 0.1547
23 Au 0.5902 0.0177 0.8453
24 Au 0.5902 0.4823 0.3453

***

(8)
For NdPbAu2, a cell relaxed with GGA-PBE gives the simulated powder diffractogram in this record (CuKα).

The 5 most intense peaks (5 to 70 degrees two-theta), low angle first:
two_theta  d/Å  I (rel.)
21.09  4.213  1
34.77  2.580  100
41.02  2.200  1
50.00  1.824  18
62.34  1.489  38

Cell and atoms:
Cell lengths 7.2968, 7.2968, 7.2968 Å; angles 90.00, 90.00, 90.00 degrees
Element x y z (fractional)
1 Nd 0.0000 0.0000 0.0000
2 Nd 0.0000 0.5000 0.5000
3 Nd 0.5000 0.0000 0.5000
4 Nd 0.5000 0.5000 0.0000
5 Pb 0.0000 0.0000 0.5000
6 Pb 0.0000 0.5000 0.0000
7 Pb 0.5000 0.0000 0.0000
8 Pb 0.5000 0.5000 0.5000
9 Au 0.2500 0.2500 0.2500
10 Au 0.2500 0.2500 0.7500
11 Au 0.2500 0.7500 0.2500
12 Au 0.2500 0.7500 0.7500
13 Au 0.7500 0.2500 0.2500
14 Au 0.7500 0.2500 0.7500
15 Au 0.7500 0.7500 0.2500
16 Au 0.7500 0.7500 0.7500

***

(9)
For NdPbAu, a cell relaxed with GGA-PBE gives the simulated powder diffractogram in this record (CuKα).

The 12 most intense peaks (5 to 70 degrees two-theta), low angle first:
two_theta  d/Å  I (rel.)
20.96  4.239  3
23.08  3.853  19
31.37  2.851  100
36.72  2.447  83
42.66  2.119  1
43.82  2.066  23
47.17  1.927  14
49.06  1.857  29
52.15  1.754  1
61.23  1.514  38
62.82  1.479  28
66.13  1.413  15

Cell and atoms:
Cell lengths 4.8945, 4.8945, 7.7066 Å; angles 90.00, 90.00, 120.00 degrees
Element x y z (fractional)
1 Nd 0.0000 0.0000 0.0000
2 Nd 0.0000 0.0000 0.5000
3 Pb 0.3333 0.6667 0.2500
4 Pb 0.6667 0.3333 0.7500
5 Au 0.3333 0.6667 0.7500
6 Au 0.6667 0.3333 0.2500

***

(10)
For NdSbAu, a cell relaxed with GGA-PBE gives the simulated powder diffractogram in this record (CuKα).

The 12 most intense peaks (5 to 70 degrees two-theta), low angle first:
two_theta  d/Å  I (rel.)
10.71  8.259  10
22.63  3.929  18
27.36  3.260  9
30.95  2.890  100
35.07  2.559  17
38.55  2.335  85
44.45  2.038  25
50.23  1.816  26
60.27  1.536  10
65.06  1.434  24
66.41  1.408  12
69.75  1.348  16

Cell and atoms:
Cell lengths 4.6703, 4.6703, 16.5184 Å; angles 90.00, 90.00, 120.00 degrees
Element x y z (fractional)
1 Nd 0.0000 0.0000 0.0000
2 Nd 0.0000 0.0000 0.2500
3 Nd 0.0000 0.0000 0.5000
4 Nd 0.0000 0.0000 0.7500
5 Sb 0.3333 0.6667 0.1108
6 Sb 0.3333 0.6667 0.3892
7 Sb 0.6667 0.3333 0.6108
8 Sb 0.6667 0.3333 0.8892
9 Au 0.3333 0.6667 0.6596
10 Au 0.3333 0.6667 0.8404
11 Au 0.6667 0.3333 0.1596
12 Au 0.6667 0.3333 0.3404

***

(11)
For NdSi2Au2, a cell relaxed with GGA-PBE gives the simulated powder diffractogram in this record (CuKα).

The 12 most intense peaks (5 to 70 degrees two-theta), low angle first:
two_theta  d/Å  I (rel.)
17.26  5.138  24
22.21  4.002  10
29.07  3.072  9
33.31  2.690  11
34.00  2.637  100
34.93  2.569  18
41.57  2.172  34
45.32  2.001  9
46.06  1.971  14
55.39  1.659  20
60.25  1.536  12
62.04  1.496  16

Cell and atoms:
Cell lengths 4.3447, 4.3447, 10.2758 Å; angles 90.00, 90.00, 90.00 degrees
Element x y z (fractional)
1 Nd 0.0000 0.0000 0.0000
2 Nd 0.5000 0.5000 0.5000
3 Si 0.0000 0.0000 0.3858
4 Si 0.0000 0.0000 0.6142
5 Si 0.5000 0.5000 0.1142
6 Si 0.5000 0.5000 0.8858
7 Au 0.0000 0.5000 0.2500
8 Au 0.0000 0.5000 0.7500
9 Au 0.5000 0.0000 0.2500
10 Au 0.5000 0.0000 0.7500